Starting from a structure optimized by DFT (PBE+U), the X-ray powder pattern of Mn6O5F7 was computed for λ = 1.5418 Å (Cu Kα).
Peak positions follow from Bragg's law for the DFT cell and can differ from measured ones.

Largest 6 diffraction maxima, sorted by position, 2θ = 5–70°:
(1 1 3), 2θ 28.3, rel. 100; (1 -1 3), 2θ 28.9, rel. 98; (-1 1 3), 2θ 30.8, rel. 83; (1 1 -3), 2θ 31.2, rel. 63; (2 0 6), 2θ 47.9, rel. 34; (2 0 -6), 2θ 54.2, rel. 33

Cell and atoms:
```
data_Mn6O5F7
_chemical_formula_sum 'Mn12 O10 F14'
_cell_length_a 5.2493
_cell_length_b 5.5011
_cell_length_c 14.8229
_cell_angle_alpha 88.52
_cell_angle_beta 83.44
_cell_angle_gamma 89.70
_symmetry_space_group_name_H-M 'P 1'
_symmetry_Int_Tables_number 1
_symmetry_space_group_name_Hall 'P 1'
loop_
_atom_site_label
_atom_site_type_symbol
_atom_site_fract_x
_atom_site_fract_y
_atom_site_fract_z
Mn1 Mn 0.0000 0.0000 0.0000
Mn2 Mn 0.0021 0.0170 0.3355
Mn3 Mn 0.4016 0.6024 0.9913
Mn4 Mn 0.4190 0.6669 0.6632
Mn5 Mn 0.4349 0.0899 0.8205
Mn6 Mn 0.4515 0.1189 0.4976
Mn7 Mn 0.5001 0.6924 0.3365
Mn8 Mn 0.5437 0.0654 0.1669
Mn9 Mn 0.9013 0.9727 0.6533
Mn10 Mn 0.9447 0.5012 0.1568
Mn11 Mn 0.9551 0.4208 0.4979
Mn12 Mn 0.9645 0.6818 0.8220
O1 O 0.1171 0.1752 0.5652
O2 O 0.1394 0.7390 0.0702
O3 O 0.1863 0.8889 0.7317
O4 O 0.2080 0.8053 0.9055
O5 O 0.3025 0.9420 0.4001
O6 O 0.5909 0.9216 0.5912
O7 O 0.7157 0.7529 0.7406
O8 O 0.7237 0.9134 0.2639
O9 O 0.7905 0.1818 0.4319
O10 O 0.8424 0.1824 0.0999
F1 F 0.0935 0.6588 0.5773
F2 F 0.1068 0.3358 0.2639
F3 F 0.1975 0.2889 0.9270
F4 F 0.2442 0.8746 0.2340
F5 F 0.2569 0.4271 0.7495
F6 F 0.3291 0.4447 0.4204
F7 F 0.3561 0.2747 0.0880
F8 F 0.5937 0.4308 0.5796
F9 F 0.6109 0.4404 0.2502
F10 F 0.6317 0.7253 0.0859
F11 F 0.7044 0.5101 0.9086
F12 F 0.7083 0.9931 0.9199
F13 F 0.7492 0.2322 0.7435
F14 F 0.8299 0.6702 0.4136
```